1.
Calculated X-ray diffraction stick pattern of Cs2KBeAs2 for Cu Kα X-rays, from a crystal structure in Alexandria, relaxed with GGA-PBE.

Principal peaks in the range 10° ≤ 2θ ≤ 90°, sorted by position:
Position (°2θ), I (rel.)
20.3, 24
23.0, 19
24.6, 36
27.8, 15
28.6, 100
33.9, 29
38.8, 13
39.2, 13
45.8, 27
53.7, 16

Structure:
a b c (Å): 9.390 9.390 9.390
angles (deg): 131.27 68.73 134.69
Atoms (fractional coordinates):
Cs: 0.176 0.220 0.396
Cs: 0.324 0.720 0.045
Cs: 0.676 0.280 0.955
Cs: 0.824 0.780 0.604
K: 0.250 0.750 0.500
K: 0.750 0.250 0.500
Be: 0.250 0.250 0.000
Be: 0.750 0.750 0.000
As: 0.059 0.848 0.907
As: 0.441 0.348 0.789
As: 0.559 0.652 0.211
As: 0.941 0.152 0.093

2.
Calculated X-ray diffraction stick pattern of Li5Bi2Sb for Cu Kα X-rays, from a crystal structure in Alexandria, relaxed with GGA-PBE.

Principal peaks in the range 10° ≤ 2θ ≤ 90°, sorted by position:
Position (°2θ), I (rel.)
10.7, 100
21.5, 74
25.3, 34
27.7, 86
29.7, 43
35.3, 100
39.5, 39
43.1, 31
45.4, 43
69.0, 29

Structure:
a b c (Å): 4.557 4.557 16.564
angles (deg): 90.00 90.00 90.00
Atoms (fractional coordinates):
Li: 0.000 0.000 0.000
Li: 0.000 0.500 0.111
Li: 0.000 0.500 0.389
Li: 0.000 0.500 0.611
Li: 0.000 0.500 0.889
Li: 0.500 0.000 0.111
Li: 0.500 0.000 0.389
Li: 0.500 0.000 0.611
Li: 0.500 0.000 0.889
Li: 0.500 0.500 0.500
Bi: 0.000 0.000 0.238
Bi: 0.000 0.000 0.762
Bi: 0.500 0.500 0.262
Bi: 0.500 0.500 0.738
Sb: 0.000 0.000 0.500
Sb: 0.500 0.500 0.000

3.
Calculated X-ray diffraction stick pattern of Pm5BeSe4 for Cu Kα X-rays, from a crystal structure in Alexandria, relaxed with GGA-PBE.

Principal peaks in the range 10° ≤ 2θ ≤ 90°, sorted by position:
Position (°2θ), I (rel.)
26.1, 30
30.2, 100
43.2, 74
51.2, 14
53.6, 26
62.7, 8
69.2, 5
71.2, 21
71.3, 11
79.3, 24

Structure:
a b c (Å): 7.254 7.254 7.254
angles (deg): 99.56 99.56 131.89
Atoms (fractional coordinates):
Pm: 0.000 0.000 0.000
Pm: 0.209 0.403 0.612
Pm: 0.403 0.791 0.194
Pm: 0.597 0.209 0.806
Pm: 0.791 0.597 0.388
Be: 0.500 0.500 0.000
Se: 0.096 0.698 0.794
Se: 0.302 0.096 0.399
Se: 0.698 0.904 0.601
Se: 0.904 0.302 0.206

4.
Calculated X-ray diffraction stick pattern of La4SmHg3 for Cu Kα X-rays, from a crystal structure in Alexandria, relaxed with GGA-PBE.

Principal peaks in the range 10° ≤ 2θ ≤ 90°, sorted by position:
Position (°2θ), I (rel.)
31.1, 27
31.7, 27
32.4, 100
44.9, 20
56.1, 19
56.8, 20
58.2, 9
58.5, 9
67.7, 12
74.9, 13

Structure:
a b c (Å): 3.801 5.652 11.519
angles (deg): 90.00 90.00 90.00
Atoms (fractional coordinates):
La: 0.000 0.000 0.000
La: 0.000 0.000 0.500
La: 0.000 0.500 0.235
La: 0.000 0.500 0.765
Sm: 0.500 0.500 0.500
Hg: 0.500 0.000 0.260
Hg: 0.500 0.000 0.740
Hg: 0.500 0.500 0.000

5.
Calculated X-ray diffraction stick pattern of Sr2Mg for Cu Kα X-rays, from a crystal structure in Alexandria, relaxed with GGA-PBE.

Principal peaks in the range 10° ≤ 2θ ≤ 90°, sorted by position:
Position (°2θ), I (rel.)
20.1, 11
28.4, 27
28.7, 22
28.9, 100
40.8, 17
41.8, 9
50.6, 20
50.9, 16
51.3, 10
59.8, 11

Structure:
a b c (Å): 6.277 18.669 4.324
angles (deg): 90.00 90.00 90.00
Atoms (fractional coordinates):
Sr: 0.000 0.000 0.000
Sr: 0.000 0.183 0.500
Sr: 0.000 0.500 0.500
Sr: 0.000 0.817 0.500
Sr: 0.500 0.000 0.500
Sr: 0.500 0.317 0.500
Sr: 0.500 0.500 0.000
Sr: 0.500 0.683 0.500
Mg: 0.000 0.345 0.000
Mg: 0.000 0.655 0.000
Mg: 0.500 0.155 0.000
Mg: 0.500 0.845 0.000